Diffraction record for Na2OsCl6. The powder X-ray diffraction pattern is simulated, not measured: it uses a structure optimized by DFT (PBE) and CuKα.
No peak broadening, texture or thermal motion is included.

The 10 most intense peaks (2θ from 10° to 90°), in order of rising 2θ:
- d = 5.512 Å, 16.08 deg, I 100
- d = 4.826 Å, 18.39 deg, I 21
- d = 4.748 Å, 18.69 deg, I 31
- d = 3.357 Å, 26.55 deg, I 18
- d = 2.901 Å, 30.82 deg, I 18
- d = 2.867 Å, 31.20 deg, I 41
- d = 2.413 Å, 37.27 deg, I 15
- d = 2.374 Å, 37.90 deg, I 19
- d = 2.195 Å, 41.12 deg, I 17
- d = 1.943 Å, 46.74 deg, I 16

Structural model:
a b c (Å): 6.7141 6.7141 9.6510
angles (deg): 90.00 90.00 90.00
Space group I4/m (No. 87)
Symmetry-distinct sites (fractional):
Na1 0.0000 0.5000 0.2500 [4 per cell]
Os1 0.0000 0.0000 0.0000 [2 per cell]
Cl1 0.0000 0.0000 0.2428 [4 per cell]
Cl2 0.1676 0.3062 0.0000 [8 per cell]


Diffraction record for Nd2B8O15. The powder X-ray diffraction pattern is simulated, not measured: it uses a structure optimized by DFT (PBE) and CuKα.
No peak broadening, texture or thermal motion is included.

The 10 most intense peaks (2θ from 10° to 90°), in order of rising 2θ:
- d = 8.096 Å, 10.93 deg, I 91
- d = 5.540 Å, 16.00 deg, I 57
- d = 3.834 Å, 23.20 deg, I 37
- d = 3.773 Å, 23.58 deg, I 61
- d = 3.072 Å, 29.06 deg, I 65
- d = 3.007 Å, 29.71 deg, I 77
- d = 2.946 Å, 30.34 deg, I 70
- d = 2.770 Å, 32.32 deg, I 38
- d = 2.614 Å, 34.30 deg, I 100
- d = 2.014 Å, 45.00 deg, I 36

Structural model:
a b c (Å): 9.0803 4.1903 12.4271
angles (deg): 90.00 116.93 90.00
Space group P2/c (No. 13)
Symmetry-distinct sites (fractional):
Nd1 0.1413 0.2397 0.4473 [4 per cell]
B1 0.1059 0.2845 0.7037 [4 per cell]
B2 0.2825 0.2293 0.2338 [4 per cell]
B3 0.4063 0.2854 0.8731 [4 per cell]
B4 0.4108 0.2081 0.0845 [4 per cell]
O1 0.0000 0.1417 0.7500 [2 per cell]
O2 0.0236 0.2447 0.5767 [4 per cell]
O3 0.1390 0.3772 0.2368 [4 per cell]
O4 0.2775 0.1215 0.7616 [4 per cell]
O5 0.2824 0.2778 0.1199 [4 per cell]
O6 0.3356 0.3112 0.9576 [4 per cell]
O7 0.4287 0.3753 0.3386 [4 per cell]
O8 0.4393 0.1317 0.5878 [4 per cell]